No. 1
V5CuO12: theoretical powder diffraction line list (copper Kα), based on the GGA+U geometry in the Materials Project.

Crystal structure
a b c (Å): 6.767 6.773 11.843
angles (deg): 75.25 75.33 83.83
Atoms (fractional coordinates):
V 0.000 0.000 0.000
V 0.000 0.004 0.499
V 0.188 0.831 0.243
V 0.189 0.829 0.743
V 0.411 0.414 0.000
V 0.414 0.414 0.499
V 0.585 0.226 0.256
V 0.586 0.225 0.757
V 0.716 0.699 0.249
V 0.717 0.697 0.750
Cu 0.888 0.519 0.002
Cu 0.894 0.526 0.496
O 0.136 0.984 0.849
O 0.137 0.988 0.349
O 0.172 0.979 0.098
O 0.172 0.980 0.598
O 0.182 0.538 0.005
O 0.185 0.537 0.506
O 0.425 0.713 0.235
O 0.427 0.277 0.151
O 0.429 0.714 0.733
O 0.431 0.279 0.650
O 0.435 0.242 0.402
O 0.435 0.242 0.901
O 0.611 0.578 0.936
O 0.613 0.582 0.431
O 0.700 0.986 0.766
O 0.702 0.989 0.265
O 0.757 0.415 0.209
O 0.757 0.417 0.712
O 0.832 0.801 0.068
O 0.837 0.803 0.563
O 0.877 0.229 0.993
O 0.877 0.233 0.494
O 0.998 0.658 0.787
O 0.999 0.658 0.290

Main lines, low angle first (10° ≤ 2θ ≤ 90°):
- 13.54 deg, 6.541 Å, rel. 21.5
- 18.33 deg, 4.839 Å, rel. 45.9
- 19.63 deg, 4.522 Å, rel. 47.6
- 23.30 deg, 3.818 Å, rel. 28.0
- 28.20 deg, 3.164 Å, rel. 100.0
- 29.98 deg, 2.981 Å, rel. 62.5
- 32.16 deg, 2.783 Å, rel. 48.9
- 34.94 deg, 2.568 Å, rel. 27.1
- 45.01 deg, 2.014 Å, rel. 23.4
- 54.79 deg, 1.675 Å, rel. 19.5

No. 2
Na2W2O7: theoretical powder diffraction line list (copper Kα), based on the GGA+U geometry in the Materials Project.

Crystal structure
a b c (Å): 7.091 7.091 15.044
angles (deg): 90.00 90.00 117.25
Atoms (fractional coordinates):
Na 0.169 0.831 0.846
Na 0.250 0.250 0.000
Na 0.250 0.250 0.500
Na 0.331 0.669 0.346
Na 0.669 0.331 0.654
Na 0.750 0.750 0.000
Na 0.750 0.750 0.500
Na 0.831 0.169 0.154
W 0.162 0.338 0.750
W 0.246 0.754 0.086
W 0.254 0.746 0.586
W 0.338 0.162 0.250
W 0.662 0.838 0.750
W 0.746 0.254 0.414
W 0.754 0.246 0.914
W 0.838 0.662 0.250
O 0.028 0.565 0.157
O 0.065 0.528 0.657
O 0.123 0.877 0.282
O 0.124 0.876 0.531
O 0.140 0.860 0.002
O 0.197 0.208 0.161
O 0.208 0.197 0.839
O 0.292 0.303 0.339
O 0.303 0.292 0.661
O 0.360 0.640 0.502
O 0.376 0.624 0.031
O 0.377 0.623 0.782
O 0.435 0.972 0.157
O 0.472 0.935 0.657
O 0.528 0.065 0.343
O 0.565 0.028 0.843
O 0.623 0.377 0.218
O 0.624 0.376 0.969
O 0.640 0.360 0.498
O 0.697 0.708 0.339
O 0.708 0.697 0.661
O 0.792 0.803 0.161
O 0.803 0.792 0.839
O 0.860 0.140 0.998
O 0.876 0.124 0.469
O 0.877 0.123 0.718
O 0.935 0.472 0.343
O 0.972 0.435 0.843

Main lines, low angle first (10° ≤ 2θ ≤ 90°):
- 15.78 deg, 5.616 Å, rel. 89.7
- 18.36 deg, 4.832 Å, rel. 100.0
- 18.82 deg, 4.716 Å, rel. 42.8
- 23.03 deg, 3.862 Å, rel. 43.2
- 26.90 deg, 3.314 Å, rel. 67.7
- 27.62 deg, 3.230 Å, rel. 51.9
- 27.88 deg, 3.200 Å, rel. 85.9
- 28.31 deg, 3.152 Å, rel. 73.2
- 28.94 deg, 3.085 Å, rel. 40.3
- 53.56 deg, 1.711 Å, rel. 38.4

No. 3
Li8Mn5Fe3B8O24: theoretical powder diffraction line list (copper Kα), based on the GGA+U geometry in the Materials Project.

Crystal structure
a b c (Å): 5.246 6.043 16.218
angles (deg): 81.77 89.25 89.01
Atoms (fractional coordinates):
Li 0.000 0.000 0.000
Li 0.001 0.499 0.501
Li 0.300 0.373 0.718
Li 0.302 0.875 0.218
Li 0.498 0.252 0.249
Li 0.499 0.754 0.749
Li 0.801 0.121 0.470
Li 0.802 0.621 0.968
Mn 0.319 0.459 0.901
Mn 0.320 0.957 0.400
Mn 0.818 0.710 0.149
Mn 0.981 0.915 0.818
Mn 0.983 0.413 0.320
Fe 0.486 0.655 0.571
Fe 0.489 0.162 0.069
Fe 0.820 0.216 0.647
B 0.321 0.650 0.062
B 0.322 0.149 0.563
B 0.481 0.973 0.908
B 0.482 0.472 0.408
B 0.819 0.403 0.810
B 0.821 0.903 0.311
B 0.980 0.225 0.156
B 0.980 0.727 0.655
O 0.060 0.173 0.552
O 0.061 0.673 0.048
O 0.240 0.201 0.167
O 0.240 0.702 0.667
O 0.333 0.104 0.956
O 0.335 0.603 0.456
O 0.362 0.859 0.851
O 0.365 0.358 0.351
O 0.438 0.768 0.118
O 0.443 0.267 0.619
O 0.466 0.015 0.516
O 0.471 0.515 0.016
O 0.558 0.425 0.798
O 0.561 0.924 0.298
O 0.741 0.951 0.920
O 0.743 0.450 0.421
O 0.833 0.356 0.204
O 0.834 0.860 0.703
O 0.857 0.112 0.099
O 0.859 0.611 0.599
O 0.939 0.018 0.369
O 0.939 0.516 0.867
O 0.964 0.270 0.762
O 0.970 0.769 0.265

Main lines, low angle first (10° ≤ 2θ ≤ 90°):
- 20.33 deg, 4.369 Å, rel. 78.3
- 22.15 deg, 4.012 Å, rel. 34.5
- 22.49 deg, 3.954 Å, rel. 60.6
- 33.44 deg, 2.679 Å, rel. 100.0
- 34.04 deg, 2.633 Å, rel. 32.9
- 34.19 deg, 2.622 Å, rel. 25.8
- 34.59 deg, 2.593 Å, rel. 23.4
- 40.05 deg, 2.251 Å, rel. 25.1
- 40.91 deg, 2.206 Å, rel. 33.2
- 61.84 deg, 1.500 Å, rel. 22.6

No. 4
YV3Se2ClO8: theoretical powder diffraction line list (copper Kα), based on the GGA+U geometry in the Materials Project.

Crystal structure
a b c (Å): 7.246 6.686 9.744
angles (deg): 90.00 90.21 90.00
Atoms (fractional coordinates):
Y 0.231 0.250 0.251
Y 0.769 0.750 0.749
V 0.299 0.750 0.751
V 0.500 0.000 0.000
V 0.500 0.000 0.500
V 0.500 0.500 0.000
V 0.500 0.500 0.500
V 0.701 0.250 0.249
Se 0.087 0.750 0.436
Se 0.089 0.750 0.065
Se 0.911 0.250 0.935
Se 0.913 0.250 0.564
Cl 0.381 0.250 0.742
Cl 0.619 0.750 0.258
O 0.069 0.750 0.886
O 0.074 0.750 0.615
O 0.230 0.545 0.411
O 0.230 0.955 0.411
O 0.235 0.545 0.091
O 0.235 0.955 0.091
O 0.482 0.250 0.381
O 0.485 0.250 0.116
O 0.515 0.750 0.884
O 0.518 0.750 0.619
O 0.765 0.045 0.909
O 0.765 0.455 0.909
O 0.770 0.045 0.589
O 0.770 0.455 0.589
O 0.926 0.250 0.385
O 0.931 0.250 0.114

Main lines, low angle first (10° ≤ 2θ ≤ 90°):
- 15.24 deg, 5.815 Å, rel. 43.2
- 16.08 deg, 5.513 Å, rel. 39.6
- 25.75 deg, 3.460 Å, rel. 72.2
- 26.66 deg, 3.343 Å, rel. 55.7
- 28.01 deg, 3.185 Å, rel. 44.6
- 29.44 deg, 3.034 Å, rel. 72.8
- 30.64 deg, 2.918 Å, rel. 100.0
- 30.81 deg, 2.902 Å, rel. 41.7
- 33.06 deg, 2.710 Å, rel. 47.7
- 34.82 deg, 2.576 Å, rel. 88.8

No. 5
Cs2KCoF6: theoretical powder diffraction line list (copper Kα), based on the GGA+U geometry in the Materials Project.

Crystal structure
a b c (Å): 6.390 6.390 6.390
angles (deg): 60.00 60.00 60.00
Atoms (fractional coordinates):
Cs 0.250 0.250 0.250
Cs 0.750 0.750 0.750
K 0.000 0.000 0.000
Co 0.500 0.500 0.500
F 0.291 0.291 0.709
F 0.291 0.709 0.291
F 0.291 0.709 0.709
F 0.709 0.291 0.291
F 0.709 0.291 0.709
F 0.709 0.709 0.291

Main lines, low angle first (10° ≤ 2θ ≤ 90°):
- 19.65 deg, 4.519 Å, rel. 11.9
- 27.92 deg, 3.195 Å, rel. 100.0
- 34.37 deg, 2.609 Å, rel. 23.3
- 39.90 deg, 2.259 Å, rel. 35.7
- 44.85 deg, 2.021 Å, rel. 8.7
- 49.40 deg, 1.845 Å, rel. 36.0
- 57.70 deg, 1.598 Å, rel. 20.7
- 65.30 deg, 1.429 Å, rel. 20.3
- 68.92 deg, 1.362 Å, rel. 6.5
- 79.34 deg, 1.208 Å, rel. 21.4